[1]
Structure and calculated powder diffractogram of Pr2YErP4 (DFT lattice parameters and positions (GGA-PBE); λ = 1.5418 Å (Cu Kα)).
Kinematic intensities with the Lorentz-polarization factor, no thermal factor.

Crystal structure
abc: 7.0937 4.1019 7.1011
angles: 90.00 109.48 90.00
Fractional coordinates of all 8 atoms:
Pr 0.0000 0.0000 0.0000
Pr 0.0000 0.5000 0.5000
Y 0.5000 0.0000 0.5000
Er 0.5000 0.5000 0.0000
P 0.2621 0.5000 0.2527
P 0.2631 0.0000 0.7557
P 0.7369 0.0000 0.2443
P 0.7379 0.5000 0.7473

The 10 most intense peaks (5° ≤ 2θ ≤ 70°), sorted by position:
two_theta	I (rel.)
13.23	3
15.29	2
21.68	2
25.48	2
26.63	75
30.85	100
44.19	73
52.34	37
54.86	25
64.28	12

[2]
Structure and calculated powder diffractogram of La2Nd2Y4Er (DFT lattice parameters and positions (GGA-PBE); λ = 1.5418 Å (Cu Kα)).
Kinematic intensities with the Lorentz-polarization factor, no thermal factor.

Crystal structure
abc: 9.6628 9.6628 9.7253
angles: 115.21 115.21 21.86
Fractional coordinates of all 9 atoms:
La 0.1645 0.1645 0.9997
La 0.8355 0.8355 0.0003
Nd 0.3526 0.3526 0.3360
Nd 0.6474 0.6474 0.6640
Y 0.0201 0.0201 0.3325
Y 0.3151 0.3151 0.6635
Y 0.6849 0.6849 0.3365
Y 0.9799 0.9799 0.6675
Er 0.5000 0.5000 0.0000

The 10 most intense peaks (5° ≤ 2θ ≤ 70°), sorted by position:
two_theta	I (rel.)
28.38	46
30.61	49
31.35	100
33.01	90
39.51	17
49.90	24
53.78	21
57.01	19
59.56	14
59.69	28

[3]
Structure and calculated powder diffractogram of Sr2Al9Ag6 (DFT lattice parameters and positions (GGA-PBE); λ = 1.5418 Å (Cu Kα)).
Kinematic intensities with the Lorentz-polarization factor, no thermal factor.

Crystal structure
abc: 5.6055 5.6055 13.3613
angles: 90.00 90.00 120.00
Fractional coordinates of all 17 atoms:
Sr 0.0000 0.0000 0.1640
Sr 0.0000 0.0000 0.8360
Al 0.0000 0.5000 0.0000
Al 0.0000 0.5000 0.3367
Al 0.0000 0.5000 0.6633
Al 0.5000 0.0000 0.0000
Al 0.5000 0.0000 0.3367
Al 0.5000 0.0000 0.6633
Al 0.5000 0.5000 0.0000
Al 0.5000 0.5000 0.3367
Al 0.5000 0.5000 0.6633
Ag 0.3333 0.6667 0.1683
Ag 0.3333 0.6667 0.5000
Ag 0.3333 0.6667 0.8317
Ag 0.6667 0.3333 0.1683
Ag 0.6667 0.3333 0.5000
Ag 0.6667 0.3333 0.8317

The 10 most intense peaks (5° ≤ 2θ ≤ 70°), sorted by position:
two_theta	I (rel.)
18.28	23
19.94	36
31.93	55
37.93	100
40.51	19
42.41	13
52.48	26
56.90	10
60.91	24
66.75	12

[4]
Structure and calculated powder diffractogram of TbY3Cu2 (DFT lattice parameters and positions (GGA-PBE); λ = 1.5418 Å (Cu Kα)).
Kinematic intensities with the Lorentz-polarization factor, no thermal factor.

Crystal structure
abc: 4.9407 8.7396 6.9078
angles: 90.00 90.00 90.00
Fractional coordinates of all 12 atoms:
Tb 0.0000 0.0773 0.0000
Tb 0.0000 0.9227 0.5000
Y 0.0000 0.3353 0.6282
Y 0.0000 0.6647 0.1282
Y 0.5000 0.1628 0.3426
Y 0.5000 0.4247 0.9710
Y 0.5000 0.5753 0.4710
Y 0.5000 0.8372 0.8426
Cu 0.0000 0.3478 0.2244
Cu 0.0000 0.6522 0.7244
Cu 0.5000 0.1531 0.7468
Cu 0.5000 0.8469 0.2468

The 10 most intense peaks (5° ≤ 2θ ≤ 70°), sorted by position:
two_theta	I (rel.)
30.21	100
31.61	32
33.06	19
33.27	90
33.38	26
35.78	44
36.37	57
40.51	24
55.56	18
61.44	17

[5]
Structure and calculated powder diffractogram of Pm3Tm4Sc5 (DFT lattice parameters and positions (GGA-PBE); λ = 1.5418 Å (Cu Kα)).
Kinematic intensities with the Lorentz-polarization factor, no thermal factor.

Crystal structure
abc: 8.1578 8.1578 9.3480
angles: 118.33 118.33 40.76
Fractional coordinates of all 12 atoms:
Pm 0.0000 0.0000 0.0000
Pm 0.2658 0.2658 0.7303
Pm 0.7342 0.7342 0.2697
Tm 0.2966 0.2966 0.1202
Tm 0.4149 0.4149 0.5575
Tm 0.5851 0.5851 0.4425
Tm 0.7034 0.7034 0.8798
Sc 0.0582 0.0582 0.6976
Sc 0.1661 0.1661 0.3537
Sc 0.5000 0.5000 0.0000
Sc 0.8339 0.8339 0.6463
Sc 0.9418 0.9418 0.3024

The 10 most intense peaks (5° ≤ 2θ ≤ 70°), sorted by position:
two_theta	I (rel.)
23.43	43
30.47	46
30.62	46
31.32	53
31.49	100
32.97	58
33.65	57
33.83	68
34.34	62
45.01	39

[6]
Structure and calculated powder diffractogram of VPd5Au8 (DFT lattice parameters and positions (GGA-PBE); λ = 1.5418 Å (Cu Kα)).
Kinematic intensities with the Lorentz-polarization factor, no thermal factor.

Crystal structure
abc: 6.8730 6.8730 6.8730
angles: 109.38 109.38 109.65
Fractional coordinates of all 14 atoms:
V 0.0000 0.0000 0.0000
Pd 0.2120 0.2987 0.6917
Pd 0.2500 0.7500 0.5000
Pd 0.4797 0.7880 0.0867
Pd 0.6069 0.5203 0.3083
Pd 0.7013 0.3931 0.9133
Au 0.1387 0.4285 0.0732
Au 0.3553 0.0656 0.9268
Au 0.4110 0.1401 0.3963
Au 0.5715 0.6447 0.7102
Au 0.7438 0.0147 0.6037
Au 0.8599 0.2562 0.2709
Au 0.9344 0.8613 0.2898
Au 0.9853 0.5890 0.7291

The 10 most intense peaks (5° ≤ 2θ ≤ 70°), sorted by position:
two_theta	I (rel.)
27.52	33
35.74	67
35.85	31
39.33	13
42.64	100
48.63	10
56.80	13
59.33	12
59.45	9
68.97	11

[7]
Structure and calculated powder diffractogram of Co2Ag2Ge (DFT lattice parameters and positions (GGA-PBE); λ = 1.5418 Å (Cu Kα)).
Kinematic intensities with the Lorentz-polarization factor, no thermal factor.

Crystal structure
abc: 5.8673 5.8673 4.3503
angles: 90.00 90.00 90.00
Fractional coordinates of all 10 atoms:
Co 0.1347 0.3653 0.0000
Co 0.3653 0.8653 0.0000
Co 0.6347 0.1347 0.0000
Co 0.8653 0.6347 0.0000
Ag 0.1714 0.6714 0.5000
Ag 0.3286 0.1714 0.5000
Ag 0.6714 0.8286 0.5000
Ag 0.8286 0.3286 0.5000
Ge 0.0000 0.0000 0.0000
Ge 0.5000 0.5000 0.0000

The 10 most intense peaks (5° ≤ 2θ ≤ 70°), sorted by position:
two_theta	I (rel.)
29.76	9
34.17	6
36.96	32
40.13	100
41.52	31
43.63	6
49.10	26
61.80	4
66.20	20
69.50	11

[8]
Structure and calculated powder diffractogram of Sr2LiH8O6 (DFT lattice parameters and positions (GGA-PBE); λ = 1.5418 Å (Cu Kα)).
Kinematic intensities with the Lorentz-polarization factor, no thermal factor.

Crystal structure
abc: 7.4896 3.5201 7.5125
angles: 90.00 90.77 90.00
Fractional coordinates of all 17 atoms:
Sr 0.0000 0.0000 0.0000
Sr 0.1486 0.0000 0.4971
Li 0.5449 0.0000 0.6087
H 0.2736 0.5000 0.2039
H 0.3732 0.5000 0.7028
H 0.6010 0.2166 0.9249
H 0.6010 0.7834 0.9249
H 0.7165 0.5000 0.1399
H 0.7508 0.2299 0.3946
H 0.7508 0.7701 0.3946
H 0.9126 0.5000 0.7094
O 0.0408 0.5000 0.7381
O 0.1440 0.5000 0.2231
O 0.3916 0.5000 0.5739
O 0.5312 0.0000 0.8699
O 0.7593 0.5000 0.0154
O 0.7815 0.0000 0.4733

The 10 most intense peaks (5° ≤ 2θ ≤ 70°), sorted by position:
two_theta	I (rel.)
11.82	100
16.60	26
23.71	45
26.43	25
26.73	22
28.01	16
34.95	39
36.91	38
37.13	49
46.05	18

[9]
Structure and calculated powder diffractogram of Hf2Pt4Au (DFT lattice parameters and positions (GGA-PBE); λ = 1.5418 Å (Cu Kα)).
Kinematic intensities with the Lorentz-polarization factor, no thermal factor.

Crystal structure
abc: 21.1461 4.3925 5.5291
angles: 90.00 90.00 90.00
Fractional coordinates of all 28 atoms:
Hf 0.0302 0.2500 0.2336
Hf 0.2219 0.7500 0.5370
Hf 0.2781 0.2500 0.0370
Hf 0.4698 0.7500 0.7336
Hf 0.5302 0.2500 0.2664
Hf 0.7219 0.7500 0.9630
Hf 0.7781 0.2500 0.4630
Hf 0.9698 0.7500 0.7664
Pt 0.0444 0.2500 0.7480
Pt 0.0874 0.7500 0.4735
Pt 0.1668 0.2500 0.2839
Pt 0.1756 0.2500 0.7734
Pt 0.3244 0.7500 0.2734
Pt 0.3332 0.7500 0.7839
Pt 0.4126 0.2500 0.9735
Pt 0.4556 0.7500 0.2480
Pt 0.5444 0.2500 0.7520
Pt 0.5874 0.7500 0.0265
Pt 0.6668 0.2500 0.2161
Pt 0.6756 0.2500 0.7266
Pt 0.8244 0.7500 0.2266
Pt 0.8332 0.7500 0.7161
Pt 0.9126 0.2500 0.5265
Pt 0.9556 0.7500 0.2520
Au 0.1073 0.7500 0.9850
Au 0.3927 0.2500 0.4850
Au 0.6073 0.7500 0.5150
Au 0.8927 0.2500 0.0150

The 10 most intense peaks (5° ≤ 2θ ≤ 70°), sorted by position:
two_theta	I (rel.)
32.58	23
33.57	15
33.81	9
39.44	100
39.80	80
41.10	51
41.52	35
46.59	11
54.65	13
59.84	24

[10]
Structure and calculated powder diffractogram of Ac5SnOs2 (DFT lattice parameters and positions (GGA-PBE); λ = 1.5418 Å (Cu Kα)).
Kinematic intensities with the Lorentz-polarization factor, no thermal factor.

Crystal structure
abc: 9.4836 9.4836 9.4836
angles: 127.65 127.65 77.20
Fractional coordinates of all 16 atoms:
Ac 0.0000 0.0000 0.0000
Ac 0.0303 0.5303 0.8220
Ac 0.2082 0.0303 0.5000
Ac 0.2918 0.7918 0.8220
Ac 0.4697 0.2918 0.5000
Ac 0.5000 0.5000 0.0000
Ac 0.5303 0.7082 0.5000
Ac 0.7082 0.2082 0.1780
Ac 0.7918 0.9697 0.5000
Ac 0.9697 0.4697 0.1780
Sn 0.2500 0.2500 0.0000
Sn 0.7500 0.7500 0.0000
Os 0.1378 0.3622 0.5000
Os 0.3622 0.8622 0.2244
Os 0.6378 0.1378 0.7756
Os 0.8622 0.6378 0.5000

The 10 most intense peaks (5° ≤ 2θ ≤ 70°), sorted by position:
two_theta	I (rel.)
11.94	27
28.42	16
29.95	100
32.27	28
33.88	58
38.75	34
48.49	13
52.57	15
61.05	21
62.68	17

[11]
Structure and calculated powder diffractogram of La2PmReN4 (DFT lattice parameters and positions (GGA-PBE); λ = 1.5418 Å (Cu Kα)).
Kinematic intensities with the Lorentz-polarization factor, no thermal factor.

Crystal structure
abc: 6.3606 6.3606 12.3910
angles: 90.00 90.00 147.64
Fractional coordinates of all 16 atoms:
La 0.1324 0.8676 0.5395
La 0.1324 0.8676 0.9605
La 0.8676 0.1324 0.0395
La 0.8676 0.1324 0.4605
Pm 0.3760 0.6240 0.7500
Pm 0.6240 0.3760 0.2500
Re 0.3505 0.6495 0.2500
Re 0.6495 0.3505 0.7500
N 0.0767 0.9233 0.7500
N 0.2278 0.7722 0.1412
N 0.2278 0.7722 0.3588
N 0.5000 0.5000 0.0000
N 0.5000 0.5000 0.5000
N 0.7722 0.2278 0.6412
N 0.7722 0.2278 0.8588
N 0.9233 0.0767 0.2500

The 10 most intense peaks (5° ≤ 2θ ≤ 70°), sorted by position:
two_theta	I (rel.)
16.18	16
28.82	47
29.24	55
29.95	88
36.60	100
39.25	21
41.52	31
51.56	17
60.38	15
61.04	24

What did the second record say?
Structure and calculated powder diffractogram of La2Nd2Y4Er (DFT lattice parameters and positions (GGA-PBE); λ = 1.5418 Å (Cu Kα)).
Kinematic intensities with the Lorentz-polarization factor, no thermal factor.

Crystal structure
abc: 9.6628 9.6628 9.7253
angles: 115.21 115.21 21.86
Fractional coordinates of all 9 atoms:
La 0.1645 0.1645 0.9997
La 0.8355 0.8355 0.0003
Nd 0.3526 0.3526 0.3360
Nd 0.6474 0.6474 0.6640
Y 0.0201 0.0201 0.3325
Y 0.3151 0.3151 0.6635
Y 0.6849 0.6849 0.3365
Y 0.9799 0.9799 0.6675
Er 0.5000 0.5000 0.0000

The 10 most intense peaks (5° ≤ 2θ ≤ 70°), sorted by position:
two_theta	I (rel.)
28.38	46
30.61	49
31.35	100
33.01	90
39.51	17
49.90	24
53.78	21
57.01	19
59.56	14
59.69	28

What did the third record say?
Structure and calculated powder diffractogram of Sr2Al9Ag6 (DFT lattice parameters and positions (GGA-PBE); λ = 1.5418 Å (Cu Kα)).
Kinematic intensities with the Lorentz-polarization factor, no thermal factor.

Crystal structure
abc: 5.6055 5.6055 13.3613
angles: 90.00 90.00 120.00
Fractional coordinates of all 17 atoms:
Sr 0.0000 0.0000 0.1640
Sr 0.0000 0.0000 0.8360
Al 0.0000 0.5000 0.0000
Al 0.0000 0.5000 0.3367
Al 0.0000 0.5000 0.6633
Al 0.5000 0.0000 0.0000
Al 0.5000 0.0000 0.3367
Al 0.5000 0.0000 0.6633
Al 0.5000 0.5000 0.0000
Al 0.5000 0.5000 0.3367
Al 0.5000 0.5000 0.6633
Ag 0.3333 0.6667 0.1683
Ag 0.3333 0.6667 0.5000
Ag 0.3333 0.6667 0.8317
Ag 0.6667 0.3333 0.1683
Ag 0.6667 0.3333 0.5000
Ag 0.6667 0.3333 0.8317

The 10 most intense peaks (5° ≤ 2θ ≤ 70°), sorted by position:
two_theta	I (rel.)
18.28	23
19.94	36
31.93	55
37.93	100
40.51	19
42.41	13
52.48	26
56.90	10
60.91	24
66.75	12

Please write out number 3 again, unchanged.
Structure and calculated powder diffractogram of Sr2Al9Ag6 (DFT lattice parameters and positions (GGA-PBE); λ = 1.5418 Å (Cu Kα)).
Kinematic intensities with the Lorentz-polarization factor, no thermal factor.

Crystal structure
abc: 5.6055 5.6055 13.3613
angles: 90.00 90.00 120.00
Fractional coordinates of all 17 atoms:
Sr 0.0000 0.0000 0.1640
Sr 0.0000 0.0000 0.8360
Al 0.0000 0.5000 0.0000
Al 0.0000 0.5000 0.3367
Al 0.0000 0.5000 0.6633
Al 0.5000 0.0000 0.0000
Al 0.5000 0.0000 0.3367
Al 0.5000 0.0000 0.6633
Al 0.5000 0.5000 0.0000
Al 0.5000 0.5000 0.3367
Al 0.5000 0.5000 0.6633
Ag 0.3333 0.6667 0.1683
Ag 0.3333 0.6667 0.5000
Ag 0.3333 0.6667 0.8317
Ag 0.6667 0.3333 0.1683
Ag 0.6667 0.3333 0.5000
Ag 0.6667 0.3333 0.8317

The 10 most intense peaks (5° ≤ 2θ ≤ 70°), sorted by position:
two_theta	I (rel.)
18.28	23
19.94	36
31.93	55
37.93	100
40.51	19
42.41	13
52.48	26
56.90	10
60.91	24
66.75	12